# Tm10In3Te3
Calculated powder diffractogram, CuKα. Input: a structure optimized by DFT (PBE).

Largest 10 diffraction maxima, low angle first, 10° ≤ 2θ ≤ 80°:
(0 0 2), 2θ 28.21, I = 15; (1 0 2), 2θ 30.55, I = 22; (2 1 0), 2θ 30.76, I = 35; (2 1 1), 2θ 33.94, I = 100; (1 1 2), 2θ 34.82, I = 76; (3 0 0), 2θ 35.00, I = 40; (2 2 2), 2θ 50.20, I = 21; (2 1 3), 2θ 53.69, I = 27; (4 0 2), 2θ 55.96, I = 15; (5 0 2), 2θ 67.73, I = 17

Cell and atoms:
Cell lengths 8.881, 8.881, 6.328 Å; angles 90.00, 90.00, 120.00 degrees
Fractional positions:
Tm (0.000, 0.241, 0.000)
Tm (0.000, 0.764, 0.500)
Tm (0.236, 0.236, 0.500)
Tm (0.241, 0.000, 0.000)
Tm (0.333, 0.667, 0.252)
Tm (0.333, 0.667, 0.748)
Tm (0.667, 0.333, 0.252)
Tm (0.667, 0.333, 0.748)
Tm (0.759, 0.759, 0.000)
Tm (0.764, 0.000, 0.500)
In (0.000, 0.393, 0.500)
In (0.393, 0.000, 0.500)
In (0.607, 0.607, 0.500)
Te (0.000, 0.611, 0.000)
Te (0.389, 0.389, 0.000)
Te (0.611, 0.000, 0.000)


# In4Ru
Calculated powder diffractogram, CuKα. Input: a structure optimized by DFT (PBE).

Largest 10 diffraction maxima, low angle first, 10° ≤ 2θ ≤ 80°:
(1 1 0), 2θ 20.03, I = 21; (2 0 0), 2θ 28.48, I = 54; (2 1 1), 2θ 35.06, I = 10; (2 2 0), 2θ 40.71, I = 100; (3 1 0), 2θ 45.77, I = 5; (2 2 2), 2θ 50.43, I = 14; (3 2 1), 2θ 54.79, I = 5; (4 0 0), 2θ 58.93, I = 16; (4 2 0), 2θ 66.73, I = 18; (4 2 2), 2θ 74.09, I = 33

Cell and atoms:
Cell lengths 6.269, 6.269, 6.269 Å; angles 90.00, 90.00, 90.00 degrees
Fractional positions:
In (0.250, 0.250, 0.250)
In (0.250, 0.250, 0.750)
In (0.250, 0.750, 0.250)
In (0.250, 0.750, 0.750)
In (0.750, 0.250, 0.250)
In (0.750, 0.250, 0.750)
In (0.750, 0.750, 0.250)
In (0.750, 0.750, 0.750)
Ru (0.000, 0.000, 0.000)
Ru (0.500, 0.500, 0.500)